# Er2TiCrO6
Computed powder diffraction line list, CuKα. Input: a DFT-relaxed cell (PBE+U, Alexandria).
Intensities are scaled so that the largest is 100.

The 10 most intense peaks (2θ from 5° to 70°), low angle first:
hkl 0 0 1, d 5.004, 2θ = 17.72°, I 41
hkl 1 1 0, d 3.660, 2θ = 24.32°, I 19
hkl 1 1 1, d 2.954, 2θ = 30.25°, I 100
hkl 2 0 0, d 2.588, 2θ = 34.66°, I 34
hkl 2 0 1, d 2.299, 2θ = 39.19°, I 21
hkl 1 1 2, d 2.066, 2θ = 43.83°, I 25
hkl 2 2 0, d 1.830, 2θ = 49.83°, I 20
hkl 2 0 2, d 1.799, 2θ = 50.75°, I 25
hkl 3 1 1, d 1.556, 2θ = 59.41°, I 29
hkl 3 1 2, d 1.370, 2θ = 68.50°, I 13

Structural model:
Unit cell a=5.176 b=5.176 c=5.004 alpha=90.00 beta=90.00 gamma=90.00
Space group P4mm (No. 99)
One atom of each set of equivalent atoms:
Er 0.000 0.500 0.000 x2
Ti 0.000 0.000 0.593 x1
Cr 0.500 0.500 0.595 x1
O 0.000 0.000 0.225 x1
O 0.240 0.240 0.743 x4
O 0.500 0.500 0.166 x1